Diffraction record for Tm3Zn2Pb2. The X-ray diffraction stick pattern is calculated, not measured: it uses a DFT-relaxed cell (GGA-PBE, Alexandria) and Cu Kα X-rays.
Neutral-atom scattering factors, no anomalous dispersion.

Peak list (8 most intense, 5° ≤ 2θ ≤ 70°, low angle first)
| d (Å) | I (rel.) | index |
| --- | --- | --- |
| 3.129 | 37 | 0 0 6 |
| 2.905 | 100 | 1 1 2 |
| 2.828 | 30 | 1 0 5 |
| 2.561 | 55 | 1 1 4 |
| 2.282 | 36 | 0 1 7 |
| 2.186 | 37 | 1 1 6 |
| 2.172 | 32 | 0 2 0 |
| 2.149 | 31 | 2 0 0 |

Crystal structure
```
data_Tm3Zn2Pb2
_chemical_formula_sum 'Tm6 Zn4 Pb4'
_symmetry_space_group_name_H-M 'I m m m'
_symmetry_Int_Tables_number 71
_symmetry_space_group_name_Hall '-I 2 2'
_cell_length_a 4.2987
_cell_length_b 4.3442
_cell_length_c 18.7714
_cell_angle_alpha 90.00
_cell_angle_beta 90.00
_cell_angle_gamma 90.00
loop_
_atom_site_label
_atom_site_type_symbol
_atom_site_fract_x
_atom_site_fract_y
_atom_site_fract_z
Tm1 Tm 0.0000 0.0000 0.0000
Tm2 Tm 0.0000 0.5000 0.1817
Zn1 Zn 0.0000 0.0000 0.4375
Pb1 Pb 0.0000 0.5000 0.3492
```